# 1
Diffraction record for Ce6Tl3H. The powder diffractogram is computed, not measured: it uses DFT lattice parameters and positions (GGA-PBE) and Cu Kα, 1.54184 Å.

Crystal structure
a b c (Å): 10.646 10.646 4.583
angles (deg): 90.00 90.00 100.26
Element x y z (fractional)
Ce: 0.055 0.945 0.750
Ce: 0.068 0.564 0.750
Ce: 0.241 0.759 0.250
Ce: 0.286 0.396 0.250
Ce: 0.396 0.286 0.750
Ce: 0.436 0.932 0.750
Ce: 0.564 0.068 0.250
Ce: 0.604 0.714 0.250
Ce: 0.714 0.604 0.750
Ce: 0.759 0.241 0.750
Ce: 0.932 0.436 0.250
Ce: 0.945 0.055 0.250
Tl: 0.073 0.264 0.750
Tl: 0.264 0.073 0.250
Tl: 0.390 0.610 0.750
Tl: 0.610 0.390 0.250
Tl: 0.736 0.927 0.750
Tl: 0.927 0.736 0.250
H: 0.202 0.798 0.750
H: 0.798 0.202 0.250

Top 10 peaks for 5 to 70 degrees two-theta, most intense first:
2θ (°)	intensity
32.23	100
39.32	17
32.89	16
39.62	15
66.84	12
57.05	11
67.26	10
52.16	9
33.77	8
52.41	8

# 2
Diffraction record for CeV2H8. The powder diffractogram is computed, not measured: it uses DFT lattice parameters and positions (GGA-PBE) and Cu Kα, 1.54184 Å.

Crystal structure
a b c (Å): 4.644 4.596 4.596
angles (deg): 123.12 90.00 90.00
Element x y z (fractional)
Ce: 0.000 0.000 0.000
V: 0.500 0.338 0.693
V: 0.500 0.693 0.338
H: 0.218 0.013 0.484
H: 0.218 0.484 0.013
H: 0.255 0.502 0.502
H: 0.500 0.039 0.815
H: 0.500 0.815 0.039
H: 0.745 0.502 0.502
H: 0.782 0.013 0.484
H: 0.782 0.484 0.013

Top 10 peaks for 5 to 70 degrees two-theta, most intense first:
2θ (°)	intensity
30.16	100
29.30	65
39.27	40
56.37	28
51.39	27
23.11	26
38.78	21
41.25	18
64.66	15
57.90	13

# 3
Diffraction record for CeYH. The powder diffractogram is computed, not measured: it uses DFT lattice parameters and positions (GGA-PBE) and Cu Kα, 1.54184 Å.

Crystal structure
a b c (Å): 3.526 3.526 5.874
angles (deg): 90.00 90.00 120.00
Element x y z (fractional)
Ce: 0.000 0.000 0.000
Y: 0.667 0.333 0.510
H: 0.333 0.667 0.742

Top 10 peaks for 5 to 70 degrees two-theta, most intense first:
2θ (°)	intensity
33.06	100
30.44	27
29.25	25
55.77	22
61.33	21
42.72	19
51.86	18
62.89	15
15.08	6
69.37	4